Diffraction record for AcVAgF6. The PXRD pattern is computed, not measured: it uses a GGA+U-relaxed structure and Cu Kα (weighted mean of Kα1 and Kα2).
No peak broadening, texture or thermal motion is included.

```
data_AcVAgF6
_cell_length_a 5.4239
_cell_length_b 5.4239
_cell_length_c 10.9304
_cell_angle_alpha 90.00
_cell_angle_beta 90.00
_cell_angle_gamma 90.00
_symmetry_space_group_name_H-M 'P 42 n m'
_symmetry_Int_Tables_number 102
_symmetry_space_group_name_Hall 'P 4n -2n'
loop_
_atom_site_label
_atom_site_type_symbol
_atom_site_fract_x
_atom_site_fract_y
_atom_site_fract_z
Ac1 Ac 0.0000 0.0000 0.0000
V1 V 0.0000 0.0000 0.6639
Ag1 Ag 0.0000 0.0000 0.3280
F1 F 0.1806 0.1806 0.8147
F2 F 0.1853 0.1853 0.5185
F3 F 0.2238 0.2238 0.1561
```

Largest 6 diffraction maxima, sorted by position, 10° ≤ 2θ ≤ 90°:
| 2θ (°) | d [Å] | Rel. int. |
| --- | --- | --- |
| 18.26 | 4.859 | 42 |
| 23.19 | 3.835 | 100 |
| 29.53 | 3.024 | 82 |
| 33.03 | 2.712 | 22 |
| 44.89 | 2.019 | 72 |
| 56.85 | 1.620 | 23 |